(1)
Starting from a crystal structure in the Materials Project, relaxed with PBE+U, the powder diffractogram of Sr6MgMo3O14 was calculated for copper Kα.
Lines closer than 0.1° are merged.

Main lines, low angle first (2θ from 10° to 90°):
d [Å], I_rel
2.902, 100
2.863, 32
2.837, 31
2.015, 43
1.660, 19
1.650, 19

Atomic structure:
Cell lengths 5.6749, 10.8422, 10.8422 Å; angles 30.62, 90.00, 90.00 degrees
Sites, in units of the cell vectors:
Sr  0.0000  0.9996  0.9996
Sr  0.0000  0.1827  0.1827
Sr  0.0000  0.8123  0.8123
Sr  0.5000  0.3088  0.3088
Sr  0.5000  0.5000  0.5000
Sr  0.5000  0.6836  0.6836
Mg  0.5000  0.0970  0.0970
Mo  0.0000  0.3981  0.3981
Mo  0.0000  0.5964  0.5964
Mo  0.5000  0.9011  0.9011
O  0.0000  0.3009  0.3009
O  0.0000  0.5000  0.5000
O  0.0000  0.6914  0.6914
O  0.2393  0.3566  0.8340
O  0.2393  0.8340  0.3566
O  0.2470  0.1461  0.6557
O  0.2470  0.6557  0.1461
O  0.5000  0.9998  0.9998
O  0.5000  0.1957  0.1957
O  0.5000  0.7983  0.7983
O  0.7530  0.1461  0.6557
O  0.7530  0.6557  0.1461
O  0.7607  0.3566  0.8340
O  0.7607  0.8340  0.3566

(2)
Starting from a crystal structure in the Materials Project, relaxed with PBE+U, the powder diffractogram of NaNdFe4O12 was calculated for copper Kα.
Lines closer than 0.1° are merged.

Main lines, low angle first (2θ from 10° to 90°):
d [Å], I_rel
7.661, 39
5.379, 39
4.402, 88
2.699, 100
2.689, 50
1.902, 52

Atomic structure:
Cell lengths 5.3785, 5.3785, 7.6608 Å; angles 90.00, 90.00, 90.00 degrees
Sites, in units of the cell vectors:
Na  0.0000  0.0000  0.0000
Nd  0.5000  0.5000  0.5000
Fe  0.0000  0.5000  0.2447
Fe  0.0000  0.5000  0.7553
Fe  0.5000  0.0000  0.2447
Fe  0.5000  0.0000  0.7553
O  0.0000  0.5000  0.0000
O  0.0000  0.5000  0.5000
O  0.2581  0.2581  0.2619
O  0.2581  0.2581  0.7381
O  0.2581  0.7419  0.2619
O  0.2581  0.7419  0.7381
O  0.5000  0.0000  0.0000
O  0.5000  0.0000  0.5000
O  0.7419  0.2581  0.2619
O  0.7419  0.2581  0.7381
O  0.7419  0.7419  0.2619
O  0.7419  0.7419  0.7381

(3)
Starting from a crystal structure in the Materials Project, relaxed with PBE+U, the powder diffractogram of K2FeH8S2O12 was calculated for copper Kα.
Lines closer than 0.1° are merged.

Main lines, low angle first (2θ from 10° to 90°):
d [Å], I_rel
6.191, 23
4.871, 30
3.549, 72
3.490, 100
3.367, 52
2.434, 39

Atomic structure:
Cell lengths 7.7185, 7.7185, 10.0418 Å; angles 93.90, 93.90, 78.26 degrees
Sites, in units of the cell vectors:
K  0.1680  0.1680  0.2481
K  0.3538  0.3067  0.7517
K  0.6933  0.6462  0.2483
K  0.8320  0.8320  0.7519
Fe  0.2595  0.7405  0.0000
Fe  0.7601  0.2399  0.5000
H  0.0374  0.0767  0.9611
H  0.0769  0.0747  0.6094
H  0.1814  0.6570  0.2638
H  0.2098  0.6866  0.7211
H  0.3134  0.7902  0.2789
H  0.3430  0.8186  0.7362
H  0.4421  0.4060  0.3898
H  0.4812  0.4046  0.0387
H  0.5420  0.2960  0.2694
H  0.5940  0.5579  0.6102
H  0.5954  0.5188  0.9613
H  0.7040  0.4580  0.7306
H  0.8149  0.0217  0.2695
H  0.9233  0.9626  0.0389
H  0.9253  0.9231  0.3906
H  0.9783  0.1851  0.7305
S  0.0539  0.5297  0.4738
S  0.4703  0.9461  0.5262
S  0.5555  0.0365  0.0460
S  0.9635  0.4445  0.9540
O  0.0369  0.2661  0.8872
O  0.0398  0.9602  0.0000
O  0.0845  0.5658  0.9300
O  0.0861  0.5484  0.6214
O  0.2220  0.4556  0.4072
O  0.2422  0.7286  0.2128
O  0.2714  0.7578  0.7872
O  0.2955  0.0260  0.5803
O  0.4342  0.9155  0.0700
O  0.4516  0.9139  0.3786
O  0.4788  0.5212  0.0000
O  0.4821  0.2150  0.1126
O  0.5444  0.7780  0.5928
O  0.5621  0.3637  0.3552
O  0.5729  0.0534  0.9028
O  0.5937  0.0717  0.5621
O  0.6363  0.4379  0.6448
O  0.7339  0.9631  0.1128
O  0.7850  0.5179  0.8874
O  0.8831  0.0423  0.3550
O  0.9283  0.4063  0.4379
O  0.9466  0.4271  0.0972
O  0.9577  0.1169  0.6450
O  0.9740  0.7045  0.4197